Theoretical powder diffractogram of Nd2B8O15 for λ = 1.5418 Å (Cu Kα), from a crystal structure in the Materials Project, relaxed with GGA-PBE.
Lines closer than 0.1° are merged.

Structural model:
Lattice parameters (Å, degrees): 9.167 4.231 12.558 90.00 116.92 90.00
Positions (direct):
Nd1 0.141 0.240 0.447
Nd2 0.141 0.760 0.947
Nd3 0.859 0.240 0.053
Nd4 0.859 0.760 0.553
B1 0.106 0.284 0.704
B2 0.106 0.716 0.204
B3 0.283 0.230 0.234
B4 0.283 0.770 0.734
B5 0.406 0.284 0.874
B6 0.406 0.716 0.374
B7 0.412 0.208 0.085
B8 0.412 0.792 0.585
B9 0.588 0.208 0.415
B10 0.588 0.792 0.915
B11 0.594 0.284 0.626
B12 0.594 0.716 0.126
B13 0.717 0.230 0.266
B14 0.717 0.770 0.766
B15 0.894 0.284 0.796
B16 0.894 0.716 0.296
O1 0.000 0.145 0.750
O2 0.000 0.855 0.250
O3 0.026 0.242 0.578
O4 0.026 0.758 0.078
O5 0.140 0.378 0.236
O6 0.140 0.622 0.736
O7 0.277 0.120 0.763
O8 0.277 0.880 0.263
O9 0.284 0.276 0.121
O10 0.284 0.724 0.621
O11 0.337 0.311 0.959
O12 0.337 0.689 0.459
O13 0.428 0.376 0.339
O14 0.428 0.624 0.839
O15 0.440 0.130 0.588
O16 0.440 0.870 0.088
O17 0.560 0.130 0.912
O18 0.560 0.870 0.412
O19 0.572 0.376 0.161
O20 0.572 0.624 0.661
O21 0.663 0.311 0.541
O22 0.663 0.689 0.041
O23 0.716 0.276 0.379
O24 0.716 0.724 0.879
O25 0.723 0.120 0.737
O26 0.723 0.880 0.237
O27 0.860 0.378 0.264
O28 0.860 0.622 0.764
O29 0.974 0.242 0.922
O30 0.974 0.758 0.422

Top 8 peaks for 10° ≤ 2θ ≤ 90°, in order of rising 2θ:
| h k l | 2θ/deg | intensity |
| --- | --- | --- |
| 1 0 0 | 10.82 | 88 |
| 0 0 2 | 15.83 | 56 |
| 1 1 -1 | 23.35 | 59 |
| 2 1 -1 | 28.78 | 65 |
| 2 0 -4 | 29.40 | 77 |
| 1 1 -3 | 30.03 | 69 |
| 0 1 3 | 31.98 | 38 |
| 2 1 1 | 33.96 | 100 |